Theoretical powder diffraction line list of VZn3N4 for Cu Kα (λ = 1.5418 Å), from a crystal structure in Alexandria, relaxed with GGA-PBE.
Intensities are scaled so that the largest is 100.

Cell and atoms:
```
8
Lattice="-2.286 2.286 4.569 2.286 -2.286 4.569 2.286 2.286 -4.569" Properties=species:S:1:pos:R:3 pbc="T T T"
V 0.000 0.000 0.000
Zn 2.286 0.000 2.285
Zn 0.000 0.000 4.569
Zn 0.000 2.286 2.285
N 1.052 1.052 -1.057
N 1.234 -1.234 5.626
N 1.234 1.234 3.512
N -1.234 1.234 5.626
```

Top 8 peaks for 10 to 90 degrees two-theta, by intensity:
2theta, I/Imax
33.97, 100
56.98, 40
68.02, 35
39.43, 31
71.50, 7
84.85, 6
45.46, 1
21.74, 1

***

Theoretical powder diffraction line list of Ac2ErMnS6 for Cu Kα (λ = 1.5418 Å), from a crystal structure in Alexandria, relaxed with GGA-PBE.
Intensities are scaled so that the largest is 100.

Cell and atoms:
```
20
Lattice="6.723 0.000 0.000 0.000 7.424 0.000 -6.626 0.000 9.618" Properties=species:S:1:pos:R:3 pbc="T T T"
Ac -0.184 0.691 2.385
Ac -3.497 3.021 7.194
Ac 3.594 4.403 2.424
Ac 0.281 6.733 7.233
Er 3.361 0.000 0.000
Er 0.048 3.712 4.809
Mn -3.313 0.000 4.809
Mn 0.000 3.712 0.000
S -5.417 1.428 9.102
S -2.104 2.284 4.292
S -4.609 5.048 9.165
S -1.296 6.088 4.356
S -2.605 0.152 7.052
S 0.708 3.560 2.243
S -0.611 3.864 7.375
S 2.702 7.272 2.566
S 1.393 1.336 5.262
S 4.706 2.376 0.453
S 2.201 5.140 5.326
S 5.514 5.996 0.517
```

Top 8 peaks for 10 to 90 degrees two-theta, by intensity:
2theta, I/Imax
25.67, 100
25.84, 70
37.38, 44
26.52, 37
39.94, 34
46.18, 29
20.13, 25
20.01, 25